This entry pairs a crystal structure of PrTa3O9 with its computed powder diffraction line list. Radiation: Cu Kα, 1.54184 Å. Structure: a crystal structure in the Materials Project, relaxed with GGA-PBE.
Peak positions follow from Bragg's law for the DFT cell and can differ from measured ones.

Peak list (6 most intense, 10° ≤ 2θ ≤ 90°, by angle)
| 2theta | I_rel | hkl |
| --- | --- | --- |
| 23.29 | 72.1 | 0 2 0 |
| 26.41 | 100.0 | 1 0 -2 |
| 27.55 | 75.7 | 1 0 2 |
| 30.26 | 44.4 | 1 2 -1 |
| 30.77 | 77.9 | 1 2 1 |
| 32.76 | 58.7 | 2 0 0 |

Structural model:
a = 5.4726 Å, b = 7.6392 Å, c = 8.3022 Å
α = 90.00°, β = 92.46°, γ = 90.00°
Element x y z (fractional)
Pr (0.0346, 0.2500, 0.4342)
Pr (0.9654, 0.7500, 0.5658)
Ta (0.0000, 0.0000, 0.0000)
Ta (0.0000, 0.5000, 0.0000)
Ta (0.4736, 0.0067, 0.6986)
Ta (0.4736, 0.4933, 0.6986)
Ta (0.5264, 0.5067, 0.3014)
Ta (0.5264, 0.9933, 0.3014)
O (0.0792, 0.2500, 0.9844)
O (0.1552, 0.5536, 0.7872)
O (0.1552, 0.9464, 0.7872)
O (0.2663, 0.5367, 0.4671)
O (0.2663, 0.9633, 0.4671)
O (0.3171, 0.5451, 0.1223)
O (0.3171, 0.9549, 0.1223)
O (0.3572, 0.2500, 0.6617)
O (0.4441, 0.2500, 0.3123)
O (0.5559, 0.7500, 0.6877)
O (0.6428, 0.7500, 0.3383)
O (0.6829, 0.0451, 0.8777)
O (0.6829, 0.4549, 0.8777)
O (0.7337, 0.0367, 0.5329)
O (0.7337, 0.4633, 0.5329)
O (0.8448, 0.0536, 0.2128)
O (0.8448, 0.4464, 0.2128)
O (0.9208, 0.7500, 0.0156)

***

This entry pairs a crystal structure of CuCl with its computed powder diffraction line list. Radiation: Cu Kα, 1.54184 Å. Structure: a crystal structure in the Materials Project, relaxed with GGA-PBE.
Peak positions follow from Bragg's law for the DFT cell and can differ from measured ones.

Peak list (6 most intense, 10° ≤ 2θ ≤ 90°, by angle)
| 2theta | I_rel | hkl |
| --- | --- | --- |
| 28.61 | 100.0 | 1 1 1 |
| 33.15 | 9.3 | 2 0 0 |
| 47.59 | 61.0 | 2 2 0 |
| 56.47 | 39.1 | 3 1 1 |
| 76.89 | 14.6 | 3 3 1 |
| 88.66 | 18.3 | 4 2 2 |

Structural model:
a = 5.4046 Å, b = 5.4046 Å, c = 5.4046 Å
α = 90.00°, β = 90.00°, γ = 90.00°
Element x y z (fractional)
Cu (0.0000, 0.0000, 0.0000)
Cu (0.0000, 0.5000, 0.5000)
Cu (0.5000, 0.0000, 0.5000)
Cu (0.5000, 0.5000, 0.0000)
Cl (0.2500, 0.2500, 0.2500)
Cl (0.2500, 0.7500, 0.7500)
Cl (0.7500, 0.2500, 0.7500)
Cl (0.7500, 0.7500, 0.2500)

***

This entry pairs a crystal structure of K2CuSCl2O4 with its computed powder diffraction line list. Radiation: Cu Kα, 1.54184 Å. Structure: a crystal structure in the Materials Project, relaxed with GGA-PBE.
Peak positions follow from Bragg's law for the DFT cell and can differ from measured ones.

Peak list (6 most intense, 10° ≤ 2θ ≤ 90°, by angle)
| 2theta | I_rel | hkl |
| --- | --- | --- |
| 12.48 | 67.0 | 1 0 1 |
| 18.98 | 49.0 | 1 1 1 |
| 26.86 | 47.0 | 2 1 0 |
| 27.91 | 40.1 | 2 0 3 |
| 28.71 | 100.0 | 0 2 0 |
| 40.46 | 62.6 | 2 2 3 |

Structural model:
a = 7.8507 Å, b = 6.2193 Å, c = 16.5337 Å
α = 90.00°, β = 90.00°, γ = 90.00°
Element x y z (fractional)
K (0.1173, 0.2500, 0.2169)
K (0.1199, 0.2500, 0.5938)
K (0.3801, 0.7500, 0.0938)
K (0.3827, 0.7500, 0.7169)
K (0.6173, 0.2500, 0.2831)
K (0.6199, 0.2500, 0.9062)
K (0.8801, 0.7500, 0.4062)
K (0.8827, 0.7500, 0.7831)
Cu (0.1210, 0.2500, 0.9623)
Cu (0.3790, 0.7500, 0.4623)
Cu (0.6210, 0.2500, 0.5377)
Cu (0.8790, 0.7500, 0.0377)
S (0.1300, 0.2500, 0.8027)
S (0.3700, 0.7500, 0.3027)
S (0.6300, 0.2500, 0.6973)
S (0.8700, 0.7500, 0.1973)
Cl (0.0988, 0.7500, 0.9517)
Cl (0.1620, 0.7500, 0.5523)
Cl (0.3380, 0.2500, 0.0523)
Cl (0.4012, 0.2500, 0.4517)
Cl (0.5988, 0.7500, 0.5483)
Cl (0.6620, 0.7500, 0.9477)
Cl (0.8380, 0.2500, 0.4477)
Cl (0.9012, 0.2500, 0.0483)
O (0.0247, 0.7500, 0.1416)
O (0.1329, 0.0547, 0.7521)
O (0.1329, 0.4453, 0.7521)
O (0.2240, 0.7500, 0.3631)
O (0.2760, 0.2500, 0.8631)
O (0.3671, 0.5547, 0.2521)
O (0.3671, 0.9453, 0.2521)
O (0.4753, 0.2500, 0.6416)
O (0.5247, 0.7500, 0.3584)
O (0.6329, 0.0547, 0.7479)
O (0.6329, 0.4453, 0.7479)
O (0.7240, 0.7500, 0.1369)
O (0.7760, 0.2500, 0.6369)
O (0.8671, 0.5547, 0.2479)
O (0.8671, 0.9453, 0.2479)
O (0.9753, 0.2500, 0.8584)

***

This entry pairs a crystal structure of MgTi2Bi4O10 with its computed powder diffraction line list. Radiation: Cu Kα, 1.54184 Å. Structure: a crystal structure in the Materials Project, relaxed with GGA-PBE.
Peak positions follow from Bragg's law for the DFT cell and can differ from measured ones.

Peak list (6 most intense, 10° ≤ 2θ ≤ 90°, by angle)
| 2theta | I_rel | hkl |
| --- | --- | --- |
| 10.46 | 100.0 | 0 0 1 |
| 24.85 | 83.4 | 1 -1 1 |
| 27.03 | 41.1 | 1 1 2 |
| 28.33 | 38.5 | -1 1 2 |
| 31.76 | 39.5 | 0 0 3 |
| 33.55 | 34.2 | -1 2 1 |

Structural model:
a = 5.8867 Å, b = 6.1961 Å, c = 8.6432 Å
α = 78.35°, β = 87.44°, γ = 88.19°
Element x y z (fractional)
Mg (0.0000, 0.0000, 0.0000)
Ti (0.4256, 0.5077, 0.6243)
Ti (0.9254, 0.1790, 0.6011)
Bi (0.0456, 0.4700, 0.9867)
Bi (0.0484, 0.7320, 0.3528)
Bi (0.5220, 0.7032, 0.0441)
Bi (0.5440, 0.1335, 0.2940)
O (0.2015, 0.3260, 0.5833)
O (0.2522, 0.9343, 0.1591)
O (0.2766, 0.4584, 0.1831)
O (0.3495, 0.7696, 0.4933)
O (0.4132, 0.5210, 0.8298)
O (0.7061, 0.4026, 0.5594)
O (0.7364, 0.4229, 0.1644)
O (0.7508, 0.9186, 0.1657)
O (0.8809, 0.0216, 0.7918)
O (0.8830, 0.0169, 0.4460)

***

This entry pairs a crystal structure of NbRh with its computed powder diffraction line list. Radiation: Cu Kα, 1.54184 Å. Structure: a crystal structure in the Materials Project, relaxed with GGA-PBE.
Peak positions follow from Bragg's law for the DFT cell and can differ from measured ones.

Peak list (6 most intense, 10° ≤ 2θ ≤ 90°, by angle)
| 2theta | I_rel | hkl |
| --- | --- | --- |
| 38.96 | 100.0 | 1 0 1 |
| 44.49 | 34.0 | 1 1 0 |
| 46.86 | 14.6 | 0 0 2 |
| 66.60 | 19.8 | 1 1 2 |
| 78.21 | 24.8 | 2 1 1 |
| 81.66 | 11.1 | 1 0 3 |

Structural model:
a = 2.8798 Å, b = 2.8798 Å, c = 3.8773 Å
α = 90.00°, β = 90.00°, γ = 90.00°
Element x y z (fractional)
Nb (0.0000, 0.0000, 0.0000)
Rh (0.5000, 0.5000, 0.5000)

***

This entry pairs a crystal structure of Ce3Sn6Pd4 with its computed powder diffraction line list. Radiation: Cu Kα, 1.54184 Å. Structure: a crystal structure in the Materials Project, relaxed with GGA-PBE.
Peak positions follow from Bragg's law for the DFT cell and can differ from measured ones.

Peak list (6 most intense, 10° ≤ 2θ ≤ 90°, by angle)
| 2theta | I_rel | hkl |
| --- | --- | --- |
| 29.15 | 18.3 | 4 1 1 |
| 31.66 | 100.0 | 2 1 4 |
| 33.33 | 42.3 | 5 1 1 |
| 36.31 | 22.9 | 6 0 3 |
| 38.69 | 47.5 | 0 2 0 |
| 54.10 | 14.8 | 6 2 3 |

Structural model:
a = 16.8505 Å, b = 4.6545 Å, c = 15.6911 Å
α = 90.00°, β = 90.00°, γ = 90.00°
Element x y z (fractional)
Ce (0.1156, 0.2500, 0.2478)
Ce (0.1428, 0.7500, 0.6176)
Ce (0.1492, 0.2500, 0.9826)
Ce (0.3508, 0.7500, 0.4826)
Ce (0.3572, 0.2500, 0.1176)
Ce (0.3844, 0.7500, 0.7478)
Ce (0.6156, 0.2500, 0.2522)
Ce (0.6428, 0.7500, 0.8824)
Ce (0.6492, 0.2500, 0.5174)
Ce (0.8508, 0.7500, 0.0174)
Ce (0.8572, 0.2500, 0.3824)
Ce (0.8844, 0.7500, 0.7522)
Sn (0.0257, 0.7500, 0.9198)
Sn (0.0508, 0.2500, 0.4588)
Sn (0.0555, 0.2500, 0.7685)
Sn (0.1716, 0.7500, 0.3936)
Sn (0.1890, 0.7500, 0.8364)
Sn (0.2063, 0.7500, 0.1203)
Sn (0.2937, 0.2500, 0.6203)
Sn (0.3110, 0.2500, 0.3364)
Sn (0.3284, 0.2500, 0.8936)
Sn (0.4445, 0.7500, 0.2685)
Sn (0.4492, 0.7500, 0.9588)
Sn (0.4743, 0.2500, 0.4198)
Sn (0.5257, 0.7500, 0.5802)
Sn (0.5508, 0.2500, 0.0412)
Sn (0.5555, 0.2500, 0.7315)
Sn (0.6716, 0.7500, 0.1064)
Sn (0.6890, 0.7500, 0.6636)
Sn (0.7063, 0.7500, 0.3797)
Sn (0.7937, 0.2500, 0.8797)
Sn (0.8110, 0.2500, 0.1636)
Sn (0.8284, 0.2500, 0.6064)
Sn (0.9445, 0.7500, 0.2315)
Sn (0.9492, 0.7500, 0.5412)
Sn (0.9743, 0.2500, 0.0802)
Pd (0.0102, 0.7500, 0.3804)
Pd (0.0477, 0.7500, 0.0993)
Pd (0.2094, 0.2500, 0.4747)
Pd (0.2167, 0.2500, 0.7662)
Pd (0.2833, 0.7500, 0.2662)
Pd (0.2906, 0.7500, 0.9747)
Pd (0.4523, 0.2500, 0.5993)
Pd (0.4898, 0.2500, 0.8804)
Pd (0.5102, 0.7500, 0.1196)
Pd (0.5477, 0.7500, 0.4007)
Pd (0.7094, 0.2500, 0.0253)
Pd (0.7167, 0.2500, 0.7338)
Pd (0.7833, 0.7500, 0.2338)
Pd (0.7906, 0.7500, 0.5253)
Pd (0.9523, 0.2500, 0.9007)
Pd (0.9898, 0.2500, 0.6196)

***

This entry pairs a crystal structure of CuCl with its computed powder diffraction line list. Radiation: Cu Kα, 1.54184 Å. Structure: a crystal structure in the Materials Project, relaxed with GGA-PBE.
Peak positions follow from Bragg's law for the DFT cell and can differ from measured ones.

Peak list (6 most intense, 10° ≤ 2θ ≤ 90°, by angle)
| 2theta | I_rel | hkl |
| --- | --- | --- |
| 28.58 | 100.0 | 1 0 1 |
| 29.10 | 37.5 | 0 0 3 |
| 47.42 | 42.9 | 1 1 0 |
| 48.10 | 40.5 | 1 0 4 |
| 56.30 | 13.2 | 0 2 1 |
| 56.61 | 30.3 | 1 1 3 |

Structural model:
a = 3.8343 Å, b = 3.8343 Å, c = 9.2057 Å
α = 90.00°, β = 90.00°, γ = 120.00°
Element x y z (fractional)
Cu (0.0000, 0.0000, 0.0000)
Cu (0.3333, 0.6667, 0.6667)
Cu (0.6667, 0.3333, 0.3333)
Cl (0.0000, 0.0000, 0.2584)
Cl (0.3333, 0.6667, 0.9251)
Cl (0.6667, 0.3333, 0.5917)

***

This entry pairs a crystal structure of PrCo2As2 with its computed powder diffraction line list. Radiation: Cu Kα, 1.54184 Å. Structure: a crystal structure in the Materials Project, relaxed with GGA-PBE.
Peak positions follow from Bragg's law for the DFT cell and can differ from measured ones.

Peak list (6 most intense, 10° ≤ 2θ ≤ 90°, by angle)
| 2theta | I_rel | hkl |
| --- | --- | --- |
| 31.18 | 24.8 | 1 1 0 |
| 33.98 | 100.0 | 1 0 3 |
| 35.73 | 69.2 | 1 1 2 |
| 44.67 | 54.7 | 2 0 0 |
| 57.29 | 44.1 | 2 1 3 |
| 62.53 | 24.3 | 1 1 6 |

Structural model:
a = 4.0573 Å, b = 4.0573 Å, c = 10.4178 Å
α = 90.00°, β = 90.00°, γ = 90.00°
Element x y z (fractional)
Pr (0.0000, 0.0000, 0.0000)
Pr (0.5000, 0.5000, 0.5000)
Co (0.0000, 0.5000, 0.2500)
Co (0.0000, 0.5000, 0.7500)
Co (0.5000, 0.0000, 0.2500)
Co (0.5000, 0.0000, 0.7500)
As (0.0000, 0.0000, 0.3630)
As (0.0000, 0.0000, 0.6370)
As (0.5000, 0.5000, 0.1369)
As (0.5000, 0.5000, 0.8630)

***

This entry pairs a crystal structure of H2S with its computed powder diffraction line list. Radiation: Cu Kα, 1.54184 Å. Structure: a crystal structure in the Materials Project, relaxed with GGA-PBE.
Peak positions follow from Bragg's law for the DFT cell and can differ from measured ones.

Peak list (6 most intense, 10° ≤ 2θ ≤ 90°, by angle)
| 2theta | I_rel | hkl |
| --- | --- | --- |
| 24.81 | 100.0 | 1 1 1 |
| 26.10 | 86.1 | -1 1 1 |
| 27.13 | 76.6 | 1 1 -1 |
| 27.41 | 71.9 | 1 -1 1 |
| 29.16 | 59.7 | 0 0 2 |
| 29.53 | 58.4 | 0 2 0 |

Structural model:
a = 5.4593 Å, b = 6.0933 Å, c = 6.1652 Å
α = 83.66°, β = 88.22°, γ = 87.45°
Element x y z (fractional)
H (0.0000, 0.0000, 0.0000)
H (0.0150, 0.7273, 0.6212)
H (0.2896, 0.5792, 0.4730)
H (0.4855, 0.9266, 0.6204)
H (0.5319, 0.5141, 0.0116)
H (0.6043, 0.2099, 0.4756)
H (0.8497, 0.4145, 0.1406)
H (0.9758, 0.0069, 0.3148)
S (0.1396, 0.0712, 0.1533)
S (0.1635, 0.5449, 0.6656)
S (0.6443, 0.0789, 0.6648)
S (0.6765, 0.5787, 0.1650)